Diffraction record for NaCa3MgFeSi4O14. The powder diffraction line list is computed, not measured: it uses the PBE+U geometry in Alexandria and Cu Kα.

Cell and atoms:
```
24
Lattice="5.1163 0.0000 0.0000 0.0797 7.8471 0.0000 0.3923 0.0717 7.9614" Properties=species:S:1:pos:R:3 pbc="T T T"
Na 0.0000 0.0000 0.0000
Ca 0.4540 4.2596 6.8384
Ca 5.2064 6.5877 3.8957
Ca 5.2560 2.7653 2.5378
Mg 2.6258 5.3612 1.3533
Fe 2.8680 1.6383 5.3536
Si 2.3915 4.3674 4.1531
Si 2.6878 6.5243 6.3959
Si 2.9110 0.4038 2.4825
Si 2.9310 2.6124 0.2643
O 1.3133 0.4688 2.6685
O 1.3335 2.7748 0.3310
O 1.5032 4.7196 2.8237
O 1.6665 3.0281 4.8288
O 1.9838 5.9703 7.7588
O 1.9208 5.5947 5.2004
O 1.9902 0.1818 6.1290
O 3.4915 1.3809 1.2471
O 3.6546 6.7994 2.1677
O 3.7659 0.9835 3.8064
O 3.9556 2.3828 6.7215
O 3.8017 3.9067 0.7860
O 3.9814 4.2537 3.9746
O 4.2910 6.3827 6.2517
```

Peak list (10 most intense, 10° ≤ 2θ ≤ 90°, by angle)
h k l, d [Å], 2θ/deg, intensity
1 0 0, 5.110, 17.4, 439
-1 1 1, 3.707, 24.0, 449
1 0 2, 3.218, 27.7, 371
1 -2 0, 3.097, 28.8, 357
1 1 2, 2.991, 29.9, 605
1 2 1, 2.948, 30.3, 457
1 -2 1, 2.909, 30.7, 587
1 2 -1, 2.874, 31.1, 510
-1 1 2, 2.859, 31.3, 1000
-2 1 3, 1.752, 52.2, 382